BaPu2WN4: computed powder diffraction line list (Cu Kα X-rays), based on DFT lattice parameters and positions (GGA-PBE).
Intensities are scaled so that the largest is 100.

Cell and atoms:
```
data_BaPu2WN4
_space_group_name_H-M_alt 'C m c m'
_space_group_IT_number 63
_space_group_name_Hall '-C 2c 2'
_cell_length_a 3.502
_cell_length_b 12.577
_cell_length_c 12.166
_cell_angle_alpha 90.00
_cell_angle_beta 90.00
_cell_angle_gamma 90.00
loop_
_atom_site_label
_atom_site_type_symbol
_atom_site_fract_x
_atom_site_fract_y
_atom_site_fract_z
_atom_site_occupancy
Ba1 Ba 0.000 0.085 0.250 1
Pu1 Pu 0.000 0.371 0.037 1
W1 W 0.000 0.177 0.750 1
N1 N 0.000 0.000 0.000 1
N2 N 0.000 0.256 0.616 1
N3 N 0.000 0.402 0.250 1
```

Top 10 peaks for 5° ≤ 2θ ≤ 70°, most intense first:
h k l  two_theta  d_spacing  I/Imax
1 1 2  30.30  2.950  100.0
1 3 2  36.55  2.458  75.5
0 0 4  29.36  3.042  66.9
0 4 0  28.38  3.144  42.9
1 1 3  34.59  2.593  27.2
0 2 5  39.72  2.269  26.1
1 3 1  34.17  2.624  25.5
0 2 1  15.86  5.586  24.4
1 3 5  50.61  1.804  23.7
1 5 3  49.99  1.824  23.1